1.
This entry pairs a crystal structure of Nd3TcN6 with its computed powder X-ray diffraction pattern. Radiation: Cu Kα, 1.54184 Å. Structure: a DFT-relaxed cell (PBE, Alexandria).
Lines closer than 0.1° are merged.

The 10 most intense peaks (2θ from 10° to 90°), in order of rising 2θ:
- d 3.149, 28.34 deg, I = 16
- d 3.130, 28.52 deg, I = 100
- d 3.109, 28.72 deg, I = 41
- d 3.085, 28.94 deg, I = 13
- d 2.715, 32.99 deg, I = 19
- d 2.056, 44.04 deg, I = 21
- d 2.038, 44.45 deg, I = 15
- d 1.967, 46.14 deg, I = 22
- d 1.679, 54.68 deg, I = 17
- d 1.593, 57.89 deg, I = 15

Lattice parameters (Å, degrees): 7.8707 7.8707 5.4296 90.00 90.00 103.27
Fractional positions:
Nd 0.1068 0.8932 0.5000
Nd 0.2000 0.4149 0.5328
Nd 0.4149 0.2000 0.0328
Nd 0.5851 0.8000 0.5328
Nd 0.8000 0.5851 0.0328
Nd 0.8932 0.1068 0.0000
Tc 0.3044 0.6956 0.0809
Tc 0.6956 0.3044 0.5809
N 0.0930 0.6110 0.2238
N 0.1509 0.1673 0.2708
N 0.1673 0.1509 0.7708
N 0.2935 0.7065 0.7444
N 0.3890 0.9070 0.2238
N 0.4428 0.5572 0.1992
N 0.5572 0.4428 0.6992
N 0.6110 0.0930 0.7238
N 0.7065 0.2935 0.2444
N 0.8327 0.8491 0.2708
N 0.8491 0.8327 0.7708
N 0.9070 0.3890 0.7238

---

2.
This entry pairs a crystal structure of NdTcN3 with its computed powder X-ray diffraction pattern. Radiation: Cu Kα, 1.54184 Å. Structure: a DFT-relaxed cell (PBE, Alexandria).
Lines closer than 0.1° are merged.

The 10 most intense peaks (2θ from 10° to 90°), in order of rising 2θ:
- d 3.471, 25.67 deg, I = 100
- d 3.245, 27.49 deg, I = 21
- d 2.960, 30.19 deg, I = 46
- d 2.936, 30.44 deg, I = 20
- d 2.781, 32.18 deg, I = 44
- d 2.680, 33.44 deg, I = 18
- d 2.572, 34.89 deg, I = 14
- d 2.405, 37.39 deg, I = 23
- d 1.942, 46.77 deg, I = 25
- d 1.836, 49.64 deg, I = 16

Lattice parameters (Å, degrees): 7.4380 7.4380 6.3251 105.08 105.08 84.73
Fractional positions:
Nd 0.0923 0.9077 0.7500
Nd 0.3104 0.6896 0.2500
Nd 0.6896 0.3104 0.7500
Nd 0.9077 0.0923 0.2500
Tc 0.2021 0.3779 0.7633
Tc 0.3779 0.2021 0.2633
Tc 0.6221 0.7979 0.7367
Tc 0.7979 0.6221 0.2367
N 0.0012 0.2281 0.6612
N 0.1366 0.6191 0.8482
N 0.2281 0.0012 0.1612
N 0.3422 0.3502 0.5433
N 0.3502 0.3422 0.0433
N 0.3809 0.8634 0.6518
N 0.6191 0.1366 0.3482
N 0.6498 0.6578 0.9567
N 0.6578 0.6498 0.4567
N 0.7719 0.9988 0.8388
N 0.8634 0.3809 0.1518
N 0.9988 0.7719 0.3388

---

3.
This entry pairs a crystal structure of Nd3Tc2N7 with its computed powder X-ray diffraction pattern. Radiation: Cu Kα, 1.54184 Å. Structure: a DFT-relaxed cell (PBE, Alexandria).
Lines closer than 0.1° are merged.

The 10 most intense peaks (2θ from 10° to 90°), in order of rising 2θ:
- d 3.058, 29.20 deg, I = 21
- d 2.862, 31.26 deg, I = 99
- d 2.746, 32.61 deg, I = 100
- d 2.539, 35.35 deg, I = 71
- d 2.291, 39.32 deg, I = 27
- d 2.010, 45.11 deg, I = 32
- d 1.912, 47.55 deg, I = 27
- d 1.590, 58.01 deg, I = 35
- d 1.576, 58.57 deg, I = 34
- d 1.540, 60.09 deg, I = 35

Lattice parameters (Å, degrees): 10.3825 10.3825 3.8242 90.00 90.00 157.67
Fractional positions:
Nd 0.0000 0.0000 0.0000
Nd 0.1809 0.8191 0.0000
Nd 0.8191 0.1809 0.0000
Tc 0.4010 0.5990 0.5000
Tc 0.5990 0.4010 0.5000
N 0.0951 0.9049 0.5000
N 0.2998 0.7002 0.5000
N 0.3977 0.6023 0.0000
N 0.5000 0.5000 0.5000
N 0.6023 0.3977 0.0000
N 0.7002 0.2998 0.5000
N 0.9049 0.0951 0.5000

---

What is the formula in the first record?
Nd3TcN6